Starting from DFT lattice parameters and positions (PBE), the powder XRD pattern of Dy4CrS7 was calculated for Cu Kα, 1.54184 Å.
No peak broadening, texture or thermal motion is included.

Cell lengths 12.478, 3.811, 11.341 Å; angles 90.00, 105.59, 90.00 degrees
Space group Cm (No. 8)
Unique sites:
Dy 0.000 0.000 0.000 [2 per cell]
Dy 0.081 0.500 0.353 [2 per cell]
Dy 0.194 0.500 0.798 [2 per cell]
Dy 0.387 0.000 0.592 [2 per cell]
Cr 0.309 0.500 0.215 [2 per cell]
S 0.033 0.000 0.739 [2 per cell]
S 0.163 0.500 0.023 [2 per cell]
S 0.201 0.000 0.281 [2 per cell]
S 0.230 0.500 0.575 [2 per cell]
S 0.357 0.000 0.844 [2 per cell]
S 0.419 0.000 0.144 [2 per cell]
S 0.446 0.500 0.423 [2 per cell]

Top 8 peaks for 2θ from 5° to 70°, by intensity:
25.0 deg, d 3.568, I = 100, hkl 2 0 -3
24.8 deg, d 3.590, I = 99, hkl 2 0 2
35.0 deg, d 2.566, I = 63, hkl 3 1 1
33.5 deg, d 2.671, I = 59, hkl 3 1 -2
32.4 deg, d 2.761, I = 53, hkl 3 1 0
54.6 deg, d 1.682, I = 49, hkl 2 2 -3
28.4 deg, d 3.145, I = 48, hkl 1 1 -2
31.9 deg, d 2.803, I = 48, hkl 3 1 -1

Starting from DFT lattice parameters and positions (PBE), the powder XRD pattern of DyCrS3 was calculated for Cu Kα, 1.54184 Å.
No peak broadening, texture or thermal motion is included.

Cell lengths 12.991, 16.204, 3.701 Å; angles 90.00, 90.00, 90.00 degrees
Space group Pnnm (No. 58)
Unique sites:
Dy 0.171 0.154 0.000 [4 per cell]
Dy 0.242 0.894 0.000 [4 per cell]
Cr 0.000 0.000 0.500 [2 per cell]
Cr 0.000 0.500 0.500 [2 per cell]
Cr 0.021 0.684 0.000 [4 per cell]
S 0.027 0.905 0.000 [4 per cell]
S 0.084 0.263 0.500 [4 per cell]
S 0.087 0.431 0.000 [4 per cell]
S 0.109 0.616 0.500 [4 per cell]
S 0.185 0.028 0.500 [4 per cell]
S 0.197 0.786 0.500 [4 per cell]

Top 8 peaks for 2θ from 5° to 70°, by intensity:
36.0 deg, d 2.495, I = 100, hkl 3 3 1
25.9 deg, d 3.437, I = 83, hkl 2 4 0
32.4 deg, d 2.763, I = 75, hkl 2 3 1
28.3 deg, d 3.154, I = 72, hkl 2 1 1
29.3 deg, d 3.053, I = 72, hkl 0 3 1
24.7 deg, d 3.608, I = 72, hkl 0 1 1
36.3 deg, d 2.474, I = 71, hkl 5 2 0
42.9 deg, d 2.109, I = 71, hkl 5 1 1

Starting from DFT lattice parameters and positions (PBE), the powder XRD pattern of DyCr2Si2 was calculated for Cu Kα, 1.54184 Å.
No peak broadening, texture or thermal motion is included.

Cell lengths 3.849, 3.849, 10.699 Å; angles 90.00, 90.00, 90.00 degrees
Space group I4/mmm (No. 139)
Unique sites:
Dy 0.000 0.000 0.000 [2 per cell]
Cr 0.000 0.500 0.250 [4 per cell]
Si 0.000 0.000 0.385 [4 per cell]

Top 8 peaks for 2θ from 5° to 70°, by intensity:
37.1 deg, d 2.426, I = 100, hkl 1 1 2
34.3 deg, d 2.616, I = 61, hkl 1 0 3
24.6 deg, d 3.622, I = 51, hkl 1 0 1
47.2 deg, d 1.924, I = 34, hkl 2 0 0
48.7 deg, d 1.870, I = 27, hkl 1 0 5
59.6 deg, d 1.550, I = 25, hkl 2 1 3
33.5 deg, d 2.675, I = 20, hkl 0 0 4
62.2 deg, d 1.492, I = 17, hkl 1 1 6

Starting from DFT lattice parameters and positions (PBE), the powder XRD pattern of ErCr2Fe10 was calculated for Cu Kα, 1.54184 Å.
No peak broadening, texture or thermal motion is included.

Cell lengths 4.681, 8.363, 8.419 Å; angles 90.00, 90.00, 90.00 degrees
Space group Immm (No. 71)
Unique sites:
Er 0.000 0.000 0.000 [2 per cell]
Cr 0.000 0.000 0.367 [4 per cell]
Fe 0.000 0.275 0.500 [4 per cell]
Fe 0.000 0.359 0.000 [4 per cell]
Fe 0.000 0.500 0.273 [4 per cell]
Fe 0.250 0.250 0.250 [8 per cell]

Top 8 peaks for 2θ from 5° to 70°, by intensity:
43.4 deg, d 2.084, I = 100, hkl 1 3 2
44.3 deg, d 2.044, I = 71, hkl 2 0 2
30.5 deg, d 2.928, I = 46, hkl 1 1 2
43.0 deg, d 2.105, I = 31, hkl 0 0 4
43.3 deg, d 2.091, I = 28, hkl 0 4 0
37.6 deg, d 2.395, I = 22, hkl 1 3 0
37.4 deg, d 2.407, I = 21, hkl 1 0 3
49.6 deg, d 1.837, I = 21, hkl 2 2 2

Starting from DFT lattice parameters and positions (PBE), the powder XRD pattern of Er2CrGe4 was calculated for Cu Kα, 1.54184 Å.
No peak broadening, texture or thermal motion is included.

Cell lengths 4.288, 4.315, 15.286 Å; angles 90.00, 90.00, 90.00 degrees
Space group Amm2 (No. 38)
Unique sites:
Er 0.000 0.000 0.000 [2 per cell]
Er 0.500 0.000 0.202 [2 per cell]
Cr 0.500 0.000 0.396 [2 per cell]
Ge 0.000 0.000 0.351 [2 per cell]
Ge 0.000 0.000 0.662 [2 per cell]
Ge 0.500 0.000 0.551 [2 per cell]
Ge 0.500 0.000 0.845 [2 per cell]

Top 8 peaks for 2θ from 5° to 70°, by intensity:
34.3 deg, d 2.612, I = 100, hkl 1 1 3
41.9 deg, d 2.158, I = 23, hkl 0 2 0
42.1 deg, d 2.144, I = 21, hkl 2 0 0
36.0 deg, d 2.495, I = 19, hkl 0 1 5
35.2 deg, d 2.548, I = 17, hkl 0 0 6
23.8 deg, d 3.740, I = 16, hkl 1 0 2
60.9 deg, d 1.521, I = 14, hkl 2 2 0
41.2 deg, d 2.190, I = 13, hkl 1 0 6